Diffraction record for K2Dy2TmMg3Cd. The XRD peak list is computed, not measured: it uses a structure optimized by DFT (GGA-PBE) and CuKα.

Atomic structure:
```
data_K2Dy2TmMg3Cd
_chemical_formula_sum 'K4 Dy4 Tm2 Mg6 Cd2'
_cell_length_a 4.854
_cell_length_b 14.065
_cell_length_c 8.256
_cell_angle_alpha 90.00
_cell_angle_beta 90.00
_cell_angle_gamma 90.00
_space_group_name_H-M_alt 'A m m 2'
_space_group_IT_number 38
loop_
_space_group_symop_operation_xyz
'x,y,z'
'-x,-y,z'
'-x,y,z'
'x,-y,z'
'x,y+1/2,z+1/2'
'-x,-y+1/2,z+1/2'
'-x,y+1/2,z+1/2'
'x,-y+1/2,z+1/2'
loop_
_atom_site_label
_atom_site_type_symbol
_atom_site_fract_x
_atom_site_fract_y
_atom_site_fract_z
K1 K 0.000 0.166 0.000
Dy1 Dy 0.500 0.187 0.689
Tm1 Tm 0.500 0.000 0.126
Mg1 Mg 0.000 0.000 0.712
Mg2 Mg 0.000 0.109 0.389
Cd1 Cd 0.500 0.000 0.494
```

Principal peaks in the range 5 to 70 degrees two-theta, in order of rising 2θ:
2θ (°), I_rel, hkl
18.3, 61.7, 1 0 0
21.5, 26.3, 0 0 2
21.8, 55.4, 0 3 1
28.4, 47.6, 1 0 2
28.6, 100.0, 1 3 1
31.2, 40.0, 1 2 2
37.0, 32.1, 2 0 0
37.9, 35.2, 0 3 3
38.4, 26.5, 0 6 0
42.4, 28.5, 1 3 3